1.
Ca3ErIn2: simulated X-ray diffraction stick pattern (Cu Kα, 1.54184 Å), based on a structure optimized by DFT (PBE).
No peak broadening, texture or thermal motion is included.

Atomic structure:
a b c (Å): 5.3128 9.8328 7.0443
angles (deg): 90.00 90.00 90.00
Element x y z (fractional)
Ca: 0.0000 0.0468 0.0000
Ca: 0.0000 0.3164 0.3569
Ca: 0.0000 0.6836 0.8569
Ca: 0.0000 0.9532 0.5000
Ca: 0.5000 0.1830 0.7137
Ca: 0.5000 0.8170 0.2137
Er: 0.5000 0.4555 0.0660
Er: 0.5000 0.5445 0.5660
In: 0.0000 0.3664 0.8205
In: 0.0000 0.6336 0.3205
In: 0.5000 0.1503 0.2451
In: 0.5000 0.8497 0.7451

Principal peaks in the range 5° ≤ 2θ ≤ 70°, sorted by position:
2theta, I_rel
8.99, 60
22.05, 26
22.83, 30
30.07, 18
30.45, 38
31.24, 27
31.81, 100
32.09, 77
33.74, 52
34.58, 22
46.64, 17
64.18, 21

2.
CaErIn6: simulated X-ray diffraction stick pattern (Cu Kα, 1.54184 Å), based on a structure optimized by DFT (PBE).
No peak broadening, texture or thermal motion is included.

Atomic structure:
a b c (Å): 4.6669 4.6669 9.3602
angles (deg): 90.00 90.00 90.00
Element x y z (fractional)
Ca: 0.0000 0.0000 0.0000
Er: 0.0000 0.0000 0.5000
In: 0.0000 0.5000 0.2533
In: 0.0000 0.5000 0.7467
In: 0.5000 0.0000 0.2533
In: 0.5000 0.0000 0.7467
In: 0.5000 0.5000 0.0000
In: 0.5000 0.5000 0.5000

Principal peaks in the range 5° ≤ 2θ ≤ 70°, sorted by position:
2theta, I_rel
9.45, 9
21.27, 5
28.67, 3
33.22, 100
38.47, 17
38.58, 33
39.78, 3
44.47, 2
55.65, 33
66.27, 13
66.42, 26
69.74, 11

3.
Ca5ErIn3: simulated X-ray diffraction stick pattern (Cu Kα, 1.54184 Å), based on a structure optimized by DFT (PBE).
No peak broadening, texture or thermal motion is included.

Atomic structure:
a b c (Å): 9.5249 9.5249 7.0533
angles (deg): 90.00 90.00 120.00
Element x y z (fractional)
Ca: 0.0000 0.3390 0.2500
Ca: 0.0000 0.6610 0.7500
Ca: 0.3333 0.6667 0.0000
Ca: 0.3333 0.6667 0.5000
Ca: 0.3390 0.0000 0.2500
Ca: 0.3390 0.3390 0.7500
Ca: 0.6610 0.0000 0.7500
Ca: 0.6610 0.6610 0.2500
Ca: 0.6667 0.3333 0.0000
Ca: 0.6667 0.3333 0.5000
Er: 0.0000 0.0000 0.0000
Er: 0.0000 0.0000 0.5000
In: 0.0000 0.3184 0.7500
In: 0.0000 0.6816 0.2500
In: 0.3184 0.0000 0.7500
In: 0.3184 0.3184 0.2500
In: 0.6816 0.0000 0.2500
In: 0.6816 0.6816 0.7500

Principal peaks in the range 5° ≤ 2θ ≤ 70°, sorted by position:
2theta, I_rel
10.73, 47
22.53, 35
31.57, 100
32.57, 100
38.54, 9
41.65, 9
45.99, 34
51.85, 9
57.48, 33
58.11, 17
62.58, 28
68.22, 10

4.
CaErScIn: simulated X-ray diffraction stick pattern (Cu Kα, 1.54184 Å), based on a structure optimized by DFT (PBE).
No peak broadening, texture or thermal motion is included.

Atomic structure:
a b c (Å): 5.3455 5.3455 5.3455
angles (deg): 60.00 60.00 60.00
Element x y z (fractional)
Ca: 0.0000 0.0000 0.0000
Er: 0.7500 0.7500 0.7500
Sc: 0.2500 0.2500 0.2500
In: 0.5000 0.5000 0.5000

Principal peaks in the range 5° ≤ 2θ ≤ 70°, sorted by position:
2theta, I_rel
20.35, 33
23.54, 2
33.53, 100
39.54, 19
41.37, 1
48.15, 18
52.78, 8
54.27, 1
59.95, 36
64.00, 6

5.
CaYErIn: simulated X-ray diffraction stick pattern (Cu Kα, 1.54184 Å), based on a structure optimized by DFT (PBE).
No peak broadening, texture or thermal motion is included.

Atomic structure:
a b c (Å): 5.4812 5.4812 5.4812
angles (deg): 60.00 60.00 60.00
Element x y z (fractional)
Ca: 0.0000 0.0000 0.0000
Y: 0.2500 0.2500 0.2500
Er: 0.7500 0.7500 0.7500
In: 0.5000 0.5000 0.5000

Principal peaks in the range 5° ≤ 2θ ≤ 70°, sorted by position:
2theta, I_rel
19.84, 14
22.95, 6
32.67, 100
38.52, 8
40.30, 2
46.88, 18
51.38, 4
52.82, 3
58.32, 37
62.23, 3
68.47, 11

6.
CaErIrPd: simulated X-ray diffraction stick pattern (Cu Kα, 1.54184 Å), based on a structure optimized by DFT (PBE).
No peak broadening, texture or thermal motion is included.

Atomic structure:
a b c (Å): 3.3940 3.3940 7.1949
angles (deg): 90.00 90.00 90.00
Element x y z (fractional)
Ca: 0.0000 0.0000 0.0000
Er: 0.0000 0.0000 0.4843
Ir: 0.5000 0.5000 0.2634
Pd: 0.5000 0.5000 0.7238

Principal peaks in the range 5° ≤ 2θ ≤ 70°, sorted by position:
2theta, I_rel
12.30, 44
26.26, 4
29.09, 9
36.39, 100
37.47, 48
39.59, 11
46.36, 14
50.76, 8
54.04, 17
55.65, 4
64.77, 18
66.91, 33